1.
For Li3RhPb, a cell relaxed with PBE gives the calculated XRD peak list in this record (Cu Kα X-rays).

Peak list (6 most intense, 5° ≤ 2θ ≤ 70°, in order of falling intensity)
two_theta  Rel. int.  index
23.0  100  1 1 0
23.9  48  0 2 0
40.7  42  1 1 2
41.4  24  1 3 0
41.2  19  0 2 2
54.0  17  1 3 2

Structure:
Cell: 4.5344 7.4523 5.4119 Å, 90.00 90.06 90.00°
Space group P2_1/m (No. 11)
Symmetry-distinct sites (fractional):
Li1 0.2466 0.2500 0.2487 x2
Li2 0.2478 0.0660 0.8240 x4
Rh1 0.2536 0.7500 0.9733 x2
Pb1 0.2533 0.7500 0.4612 x2

2.
For Sc3As2O, a cell relaxed with PBE gives the calculated XRD peak list in this record (Cu Kα X-rays).

Peak list (6 most intense, 5° ≤ 2θ ≤ 70°, in order of falling intensity)
two_theta  Rel. int.  index
32.4  100  3 1 1
41.6  52  3 1 2
29.5  34  0 2 1
39.3  29  0 2 2
47.0  28  3 3 0
39.7  25  1 3 0

Structure:
Cell: 10.4144 6.9805 6.0753 Å, 90.00 90.00 90.00°
Space group Cmc2_1 (No. 36)
Symmetry-distinct sites (fractional):
Sc1 0.0000 0.1193 0.0000 x4
Sc2 0.1528 0.4918 0.3665 x8
As1 0.1609 0.1713 0.6301 x8
O1 0.0000 0.4082 0.1073 x4

3.
For Pm5Mg4Rh4, a cell relaxed with PBE gives the calculated XRD peak list in this record (Cu Kα X-rays).

Peak list (6 most intense, 5° ≤ 2θ ≤ 70°, in order of falling intensity)
two_theta  Rel. int.  index
34.5  100  3 2 1
30.9  81  3 0 1
37.9  61  1 4 1
34.1  58  4 2 0
26.8  57  1 2 1
10.6  46  1 1 0

Structure:
Cell: 11.7539 11.7539 4.3003 Å, 90.00 90.00 90.00°
Space group I4/m (No. 87)
Symmetry-distinct sites (fractional):
Pm1 0.0000 0.0000 0.0000 x2
Pm2 0.1279 0.7967 0.5000 x8
Mg1 0.0842 0.3954 0.5000 x8
Rh1 0.0701 0.2484 0.0000 x8

4.
For SmHfIn6, a cell relaxed with PBE gives the calculated XRD peak list in this record (Cu Kα X-rays).

Peak list (6 most intense, 5° ≤ 2θ ≤ 70°, in order of falling intensity)
two_theta  Rel. int.  index
33.8  100  1 1 2
39.0  34  2 0 0
67.4  26  3 1 2
56.8  21  2 0 4
39.6  16  0 0 4
68.2  12  1 1 6

Structure:
Cell: 4.6148 4.6148 9.1044 Å, 90.00 90.00 90.00°
Space group P4/mmm (No. 123)
Symmetry-distinct sites (fractional):
Sm1 0.0000 0.0000 0.0000 x1
Hf1 0.0000 0.0000 0.5000 x1
In1 0.0000 0.5000 0.2609 x4
In2 0.5000 0.5000 0.0000 x1
In3 0.5000 0.5000 0.5000 x1

Please write out number 1 again, unchanged.
For Li3RhPb, a cell relaxed with PBE gives the calculated XRD peak list in this record (Cu Kα X-rays).

Peak list (6 most intense, 5° ≤ 2θ ≤ 70°, in order of falling intensity)
two_theta  Rel. int.  index
23.0  100  1 1 0
23.9  48  0 2 0
40.7  42  1 1 2
41.4  24  1 3 0
41.2  19  0 2 2
54.0  17  1 3 2

Structure:
Cell: 4.5344 7.4523 5.4119 Å, 90.00 90.06 90.00°
Space group P2_1/m (No. 11)
Symmetry-distinct sites (fractional):
Li1 0.2466 0.2500 0.2487 x2
Li2 0.2478 0.0660 0.8240 x4
Rh1 0.2536 0.7500 0.9733 x2
Pb1 0.2533 0.7500 0.4612 x2